1.
# Nb2H5
Computed powder X-ray diffraction pattern, Cu Ka. Input: a DFT-relaxed cell (PBE, OQMD).
Neutral-atom scattering factors, no anomalous dispersion.

Largest 6 diffraction maxima, most intense first, 10° ≤ 2θ ≤ 90°:
two_theta	intensity
33.9	100
38.5	17
38.7	17
40.7	15
66.7	13
66.9	13

a = 5.6619 Å, b = 5.6619 Å, c = 5.6619 Å
α = 131.24°, β = 69.39°, γ = 133.84°
Positions (direct):
Nb  0.1190  0.2408  0.3598
Nb  0.3810  0.7408  0.1219
Nb  0.6190  0.2592  0.8781
Nb  0.8810  0.7592  0.6402
H  0.0068  0.7500  0.2568
H  0.0828  0.8380  0.9207
H  0.2500  0.7500  0.5000
H  0.4172  0.3380  0.7552
H  0.4932  0.7500  0.7432
H  0.5068  0.2500  0.2568
H  0.5828  0.6620  0.2448
H  0.7500  0.2500  0.5000
H  0.9172  0.1620  0.0793
H  0.9932  0.2500  0.7432

2.
# Nb2H5
Computed powder X-ray diffraction pattern, Cu Ka. Input: a DFT-relaxed cell (PBE, OQMD).
Neutral-atom scattering factors, no anomalous dispersion.

Largest 6 diffraction maxima, most intense first, 10° ≤ 2θ ≤ 90°:
two_theta	intensity
35.0	100
41.6	30
58.1	24
71.7	23
23.1	20
38.7	17

a = 5.3809 Å, b = 5.3809 Å, c = 5.3809 Å
α = 100.80°, β = 100.80°, γ = 128.70°
Positions (direct):
Nb  0.1001  0.7054  0.8055
Nb  0.2946  0.1001  0.3948
Nb  0.7054  0.8999  0.6052
Nb  0.8999  0.2946  0.1945
H  0.0777  0.3608  0.9070
H  0.1707  0.0777  0.7169
H  0.2500  0.7500  0.5000
H  0.3608  0.4538  0.2831
H  0.4538  0.1707  0.0930
H  0.5462  0.8293  0.9070
H  0.6392  0.5462  0.7169
H  0.7500  0.2500  0.5000
H  0.8293  0.9223  0.2831
H  0.9223  0.6392  0.0930

3.
# Nb2H5
Computed powder X-ray diffraction pattern, Cu Ka. Input: a DFT-relaxed cell (PBE, OQMD).
Neutral-atom scattering factors, no anomalous dispersion.

Largest 6 diffraction maxima, most intense first, 10° ≤ 2θ ≤ 90°:
two_theta	intensity
33.9	100
33.6	99
38.7	67
40.2	31
55.8	23
57.0	22

a = 4.6567 Å, b = 4.6586 Å, c = 4.4915 Å
α = 90.00°, β = 90.57°, γ = 90.00°
Positions (direct):
Nb  0.2384  0.2373  0.0078
Nb  0.2384  0.7627  0.5078
Nb  0.7616  0.2373  0.4922
Nb  0.7616  0.7627  0.9922
H  0.0000  0.4865  0.7500
H  0.0000  0.5135  0.2500
H  0.1602  0.1605  0.4507
H  0.1602  0.8395  0.9507
H  0.5000  0.0146  0.7500
H  0.5000  0.4923  0.7500
H  0.5000  0.5077  0.2500
H  0.5000  0.9854  0.2500
H  0.8398  0.1605  0.0493
H  0.8398  0.8395  0.5493

4.
# NdNbH4
Computed powder X-ray diffraction pattern, Cu Ka. Input: a DFT-relaxed cell (PBE, OQMD).
Neutral-atom scattering factors, no anomalous dispersion.

Largest 6 diffraction maxima, most intense first, 10° ≤ 2θ ≤ 90°:
two_theta	intensity
31.3	100
36.7	31
62.7	27
51.9	24
35.5	17
61.1	14

a = 3.4660 Å, b = 3.4660 Å, c = 5.0639 Å
α = 90.00°, β = 90.00°, γ = 90.00°
Positions (direct):
Nd  0.0000  0.0000  0.0000
Nb  0.5000  0.5000  0.5000
H  0.0000  0.5000  0.3022
H  0.0000  0.5000  0.6978
H  0.5000  0.0000  0.3022
H  0.5000  0.0000  0.6978

5.
# RbNb4HO5
Computed powder X-ray diffraction pattern, Cu Ka. Input: a DFT-relaxed cell (PBE, OQMD).
Neutral-atom scattering factors, no anomalous dispersion.

Largest 6 diffraction maxima, most intense first, 10° ≤ 2θ ≤ 90°:
two_theta	intensity
30.4	100
32.0	67
43.0	66
10.8	50
63.3	39
53.6	38

a = 4.2098 Å, b = 4.2098 Å, c = 8.2085 Å
α = 90.00°, β = 90.00°, γ = 90.00°
Positions (direct):
Rb  0.0000  0.0000  0.0000
Nb  0.0000  0.5000  0.5000
Nb  0.5000  0.0000  0.5000
Nb  0.5000  0.5000  0.2525
Nb  0.5000  0.5000  0.7475
H  0.5000  0.5000  0.0000
O  0.0000  0.0000  0.5000
O  0.0000  0.5000  0.2433
O  0.0000  0.5000  0.7567
O  0.5000  0.0000  0.2433
O  0.5000  0.0000  0.7567

6.
# ZrNbH2Os
Computed powder X-ray diffraction pattern, Cu Ka. Input: a DFT-relaxed cell (PBE, OQMD).
Neutral-atom scattering factors, no anomalous dispersion.

Largest 6 diffraction maxima, most intense first, 10° ≤ 2θ ≤ 90°:
two_theta	intensity
36.2	100
14.4	42
41.0	40
71.6	27
47.0	24
59.4	14

a = 3.1128 Å, b = 3.1128 Å, c = 12.3375 Å
α = 90.00°, β = 90.00°, γ = 90.00°
Positions (direct):
Zr  0.0000  0.0000  0.0000
Zr  0.5000  0.5000  0.5000
Nb  0.0000  0.0000  0.7216
Nb  0.5000  0.5000  0.2216
H  0.0000  0.5000  0.1174
H  0.0000  0.5000  0.6174
H  0.5000  0.0000  0.1174
H  0.5000  0.0000  0.6174
Os  0.0000  0.0000  0.3508
Os  0.5000  0.5000  0.8508

Number 4 is which compound? NdNbH4